Entry 1:
Structure and calculated X-ray diffraction stick pattern of GdTmZnIr (DFT lattice parameters and positions (GGA-PBE); Cu Kα X-rays).
Neutral-atom scattering factors, no anomalous dispersion.

Structural model:
```
GdTmZnIr
1.0
0.0000 3.4775 3.4775
3.4775 0.0000 3.4775
3.4775 3.4775 0.0000
Gd Tm Zn Ir
1 1 1 1
direct
0.0000 0.0000 0.0000
0.5000 0.5000 0.5000
0.2500 0.2500 0.2500
0.7500 0.7500 0.7500
```

The 8 most intense peaks (5 to 70 degrees two-theta), in order of rising 2θ:
two_theta  Rel. int.
22.1  10
25.6  1
36.5  100
43.1  5
52.6  18
57.8  2
59.4  1
65.8  36

=====

Entry 2:
Structure and calculated X-ray diffraction stick pattern of Gd3YIr (DFT lattice parameters and positions (GGA-PBE); Cu Kα X-rays).
Neutral-atom scattering factors, no anomalous dispersion.

Structural model:
```
Gd3YIr
1.0
5.4755 0.0000 0.0000
0.0000 5.4755 0.0000
0.0000 0.0000 5.4755
Gd Y Ir
3 1 1
direct
0.0000 0.0000 0.5000
0.0000 0.5000 0.0000
0.5000 0.0000 0.0000
0.5000 0.5000 0.5000
0.0000 0.0000 0.0000
```

The 10 most intense peaks (5 to 70 degrees two-theta), in order of rising 2θ:
two_theta  Rel. int.
16.2  62
23.0  14
28.2  48
32.7  100
36.7  34
46.9  73
50.0  18
55.7  21
58.4  26
68.6  12